# CaLa4Ga2Fe2O12
Computed powder diffraction line list, Cu Kα, 1.54184 Å. Input: a DFT-relaxed cell (GGA+U, Alexandria).

Principal peaks in the range 2θ from 10° to 80°, most intense first:
two_theta	intensity
29.87	100
31.98	100
27.57	94
31.05	93
30.21	83
32.54	80
23.83	74
31.44	69
30.35	69
41.24	64

Atomic structure:
Cell lengths 6.314, 6.503, 7.285 Å; angles 91.17, 93.50, 90.44 degrees
Sites, in units of the cell vectors:
Ca 0.000 0.000 0.000
La 0.404 0.358 0.530
La 0.486 0.172 0.020
La 0.699 0.655 0.077
La 0.812 0.877 0.545
Ga 0.241 0.819 0.313
Ga 0.967 0.372 0.771
Fe 0.350 0.760 0.782
Fe 0.882 0.288 0.305
O 0.007 0.640 0.331
O 0.036 0.654 0.759
O 0.176 0.157 0.771
O 0.180 0.111 0.314
O 0.323 0.821 0.067
O 0.434 0.753 0.507
O 0.501 0.476 0.829
O 0.571 0.412 0.263
O 0.651 0.918 0.834
O 0.742 0.994 0.235
O 0.792 0.263 0.573
O 0.875 0.323 0.010